No. 1
For AgP2, DFT lattice parameters and positions (GGA-PBE) gives the calculated powder X-ray diffraction pattern in this record (Cu Kα).
Intensities are scaled so that the largest is 100.

Lattice parameters (Å, degrees): 6.2509 5.1114 7.8823 90.00 113.43 90.00
Space group P2_1/c (No. 14)
One atom of each set of equivalent atoms:
Ag1 0.1442 0.0470 0.4020 x4
P1 0.2764 0.7320 0.6994 x4
P2 0.4108 0.0937 0.0839 x4

Principal peaks in the range 2θ from 10° to 80°, in order of rising 2θ:
d_spacing, I_rel, hkl
5.735, 12.7, 1 0 0
4.174, 39.6, 0 1 1
3.058, 100.0, 1 1 1
2.870, 27.4, 2 0 -2
2.666, 18.6, 2 1 -1
2.336, 36.1, 1 1 -3
2.147, 9.6, 2 1 -3
1.912, 24.2, 3 1 -1
1.908, 28.3, 2 0 2
1.831, 13.6, 1 2 2

No. 2
For Ag4P3, DFT lattice parameters and positions (GGA-PBE) gives the calculated powder X-ray diffraction pattern in this record (Cu Kα).
Intensities are scaled so that the largest is 100.

Lattice parameters (Å, degrees): 4.7945 4.7945 6.2146 90.00 90.00 120.00
Space group P6/mmm (No. 191)
One atom of each set of equivalent atoms:
Ag1 0.0000 0.0000 0.2187 x2
Ag2 0.3333 0.6667 0.0000 x2
P1 0.0000 0.5000 0.5000 x3

Principal peaks in the range 2θ from 10° to 80°, in order of rising 2θ:
d_spacing, I_rel, hkl
6.215, 36.4, 0 0 1
2.488, 100.0, 1 0 2
2.397, 64.2, 1 1 0
2.237, 53.0, 1 1 1
1.854, 14.1, 1 0 3
1.726, 13.6, 2 0 2
1.466, 15.6, 2 0 3
1.401, 30.3, 2 1 2
1.384, 10.4, 3 0 0
1.304, 12.0, 1 1 4

No. 3
For Ag3P, DFT lattice parameters and positions (GGA-PBE) gives the calculated powder X-ray diffraction pattern in this record (Cu Kα).
Intensities are scaled so that the largest is 100.

Lattice parameters (Å, degrees): 6.3996 7.7559 5.9178 90.00 90.00 90.00
Space group Pnma (No. 62)
One atom of each set of equivalent atoms:
Ag1 0.0317 0.2500 0.2132 x4
Ag2 0.2224 0.0570 0.5967 x8
P1 0.1806 0.7500 0.4308 x4

Principal peaks in the range 2θ from 10° to 80°, in order of rising 2θ:
d_spacing, I_rel, hkl
3.200, 28.4, 2 0 0
2.686, 82.7, 1 0 2
2.646, 94.5, 2 1 1
2.468, 100.0, 2 2 0
2.369, 65.6, 0 3 1
2.352, 28.7, 0 2 2
2.222, 88.5, 1 3 1
2.208, 67.8, 1 2 2
2.172, 36.7, 2 0 2
1.408, 31.0, 2 3 3

No. 4
For Ag3P, DFT lattice parameters and positions (GGA-PBE) gives the calculated powder X-ray diffraction pattern in this record (Cu Kα).
Intensities are scaled so that the largest is 100.

Lattice parameters (Å, degrees): 4.1161 4.1161 8.2066 90.00 90.00 90.00
Space group I4/mmm (No. 139)
One atom of each set of equivalent atoms:
Ag1 0.0000 0.0000 0.0000 x2
Ag2 0.0000 0.5000 0.2500 x4
P1 0.0000 0.0000 0.5000 x2

Principal peaks in the range 2θ from 10° to 80°, in order of rising 2θ:
d_spacing, I_rel, hkl
4.103, 5.0, 0 0 2
3.679, 15.6, 1 0 1
2.374, 100.0, 1 1 2
2.278, 4.4, 1 0 3
2.058, 32.2, 2 0 0
2.052, 15.9, 0 0 4
1.455, 9.9, 2 2 0
1.453, 19.8, 2 0 4
1.241, 23.2, 3 1 2
1.238, 11.5, 1 1 6

No. 5
For Ag3P, DFT lattice parameters and positions (GGA-PBE) gives the calculated powder X-ray diffraction pattern in this record (Cu Kα).
Intensities are scaled so that the largest is 100.

Lattice parameters (Å, degrees): 2.9424 2.9424 9.2424 90.00 90.00 120.00
Space group P-6m2 (No. 187)
One atom of each set of equivalent atoms:
Ag1 0.0000 0.0000 0.0000 x1
Ag2 0.3333 0.6667 0.2594 x2
P1 0.0000 0.0000 0.5000 x1

Principal peaks in the range 2θ from 10° to 80°, in order of rising 2θ:
d_spacing, I_rel, hkl
4.621, 6.8, 0 0 2
2.548, 28.2, 1 0 0
2.457, 10.5, 1 0 1
2.311, 23.7, 0 0 4
2.231, 100.0, 1 0 2
1.712, 15.3, 1 0 4
1.471, 16.5, 1 1 0
1.318, 15.9, 1 0 6
1.241, 17.9, 1 1 4
1.228, 13.6, 2 0 2

No. 6
For Ag8P, DFT lattice parameters and positions (GGA-PBE) gives the calculated powder X-ray diffraction pattern in this record (Cu Kα).
Intensities are scaled so that the largest is 100.

Lattice parameters (Å, degrees): 8.7610 8.7610 4.1228 90.00 90.00 90.00
Space group I4/mmm (No. 139)
One atom of each set of equivalent atoms:
Ag1 0.0000 0.3315 0.0000 x8
Ag2 0.1653 0.1653 0.5000 x8
P1 0.0000 0.0000 0.0000 x2

Principal peaks in the range 2θ from 10° to 80°, in order of rising 2θ:
d_spacing, I_rel, hkl
6.195, 3.1, 1 1 0
4.380, 1.7, 2 0 0
3.730, 2.6, 1 0 1
2.840, 2.8, 2 1 1
2.770, 1.2, 3 1 0
2.383, 100.0, 3 0 1
2.064, 48.2, 3 3 0
1.459, 29.8, 6 0 0
1.245, 23.1, 6 3 1
1.243, 11.5, 3 0 3

Copy entry 1 word for word.
For AgP2, DFT lattice parameters and positions (GGA-PBE) gives the calculated powder X-ray diffraction pattern in this record (Cu Kα).
Intensities are scaled so that the largest is 100.

Lattice parameters (Å, degrees): 6.2509 5.1114 7.8823 90.00 113.43 90.00
Space group P2_1/c (No. 14)
One atom of each set of equivalent atoms:
Ag1 0.1442 0.0470 0.4020 x4
P1 0.2764 0.7320 0.6994 x4
P2 0.4108 0.0937 0.0839 x4

Principal peaks in the range 2θ from 10° to 80°, in order of rising 2θ:
d_spacing, I_rel, hkl
5.735, 12.7, 1 0 0
4.174, 39.6, 0 1 1
3.058, 100.0, 1 1 1
2.870, 27.4, 2 0 -2
2.666, 18.6, 2 1 -1
2.336, 36.1, 1 1 -3
2.147, 9.6, 2 1 -3
1.912, 24.2, 3 1 -1
1.908, 28.3, 2 0 2
1.831, 13.6, 1 2 2